# 1
# Hg3Cl2O2
Computed powder X-ray diffraction pattern, λ = 1.5418 Å (Cu Kα). Input: a DFT-relaxed cell (GGA-PBE, the Materials Project).

Cell and atoms:
Cell: 11.163 9.623 11.832 Å, 90.00 108.93 90.00°
Space group P2_1/c (No. 14)
Unique sites:
Hg 0.039 0.192 0.133
Hg 0.114 0.614 0.129
Hg 0.221 0.600 0.885
Hg 0.307 0.518 0.424
Hg 0.423 0.054 0.223
Hg 0.424 0.173 0.506
Cl 0.138 0.530 0.626
Cl 0.143 0.230 0.373
Cl 0.320 0.122 0.685
Cl 0.379 0.741 0.103
O 0.053 0.615 0.939
O 0.168 0.649 0.314
O 0.399 0.511 0.884
O 0.440 0.105 0.056

Top 10 peaks for 10° ≤ 2θ ≤ 90°, sorted by position:
- 25.14 deg, I 79, hkl 3 0 -2
- 25.67 deg, I 44, hkl 3 1 -1
- 27.50 deg, I 39, hkl 1 2 2
- 27.94 deg, I 100, hkl 2 2 1
- 29.31 deg, I 69, hkl 1 2 -3
- 30.28 deg, I 95, hkl 1 0 -4
- 32.66 deg, I 58, hkl 2 3 0
- 33.85 deg, I 75, hkl 4 1 -2
- 34.27 deg, I 52, hkl 3 0 2
- 38.64 deg, I 44, hkl 1 4 -1

***

# 2
# LuSnRh2
Computed powder X-ray diffraction pattern, λ = 1.5418 Å (Cu Kα). Input: a DFT-relaxed cell (GGA-PBE, the Materials Project).

Cell and atoms:
Cell: 6.582 6.582 6.582 Å, 90.00 90.00 90.00°
Space group Fm-3m (No. 225)
Unique sites:
Lu 0.000 0.000 0.000
Sn 0.000 0.000 0.500
Rh 0.250 0.250 0.250

Top 10 peaks for 10° ≤ 2θ ≤ 90°, sorted by position:
- 23.41 deg, I 3, hkl 1 1 1
- 27.09 deg, I 3, hkl 2 0 0
- 38.69 deg, I 100, hkl 2 2 0
- 45.72 deg, I 1, hkl 3 1 1
- 47.87 deg, I 1, hkl 2 2 2
- 55.87 deg, I 17, hkl 4 0 0
- 63.17 deg, I 2, hkl 4 2 0
- 70.03 deg, I 35, hkl 4 2 2
- 82.99 deg, I 11, hkl 4 4 0
- 89.30 deg, I 1, hkl 6 0 0

***

# 3
# U3O8
Computed powder X-ray diffraction pattern, λ = 1.5418 Å (Cu Kα). Input: a DFT-relaxed cell (GGA-PBE, the Materials Project).

Cell and atoms:
Cell: 4.160 11.959 6.777 Å, 90.00 90.00 90.00°
Space group Amm2 (No. 38)
Unique sites:
U 0.000 0.000 0.000
U 0.000 0.174 0.533
O 0.000 0.000 0.619
O 0.000 0.123 0.234
O 0.000 0.169 0.857
O 0.500 0.000 0.992
O 0.500 0.177 0.536

Top 10 peaks for 10° ≤ 2θ ≤ 90°, sorted by position:
- 21.36 deg, I 86, hkl 1 0 0
- 25.93 deg, I 100, hkl 0 3 1
- 26.30 deg, I 48, hkl 0 0 2
- 33.84 deg, I 75, hkl 1 3 1
- 34.13 deg, I 36, hkl 1 0 2
- 43.51 deg, I 18, hkl 2 0 0
- 46.19 deg, I 25, hkl 0 3 3
- 51.38 deg, I 61, hkl 2 3 1
- 58.09 deg, I 18, hkl 1 6 2
- 65.32 deg, I 18, hkl 2 3 3

***

# 4
# TmAlAg2
Computed powder X-ray diffraction pattern, λ = 1.5418 Å (Cu Kα). Input: a DFT-relaxed cell (GGA-PBE, the Materials Project).

Cell and atoms:
Cell: 6.790 6.790 6.790 Å, 90.00 90.00 90.00°
Space group Fm-3m (No. 225)
Unique sites:
Tm 0.000 0.000 0.000
Al 0.000 0.000 0.500
Ag 0.250 0.250 0.250

Top 10 peaks for 10° ≤ 2θ ≤ 90°, sorted by position:
- 22.68 deg, I 27, hkl 1 1 1
- 26.25 deg, I 1, hkl 2 0 0
- 37.46 deg, I 100, hkl 2 2 0
- 44.24 deg, I 14, hkl 3 1 1
- 54.02 deg, I 17, hkl 4 0 0
- 59.33 deg, I 6, hkl 3 3 1
- 67.59 deg, I 34, hkl 4 2 2
- 72.31 deg, I 4, hkl 5 1 1
- 79.93 deg, I 11, hkl 4 4 0
- 84.40 deg, I 5, hkl 5 3 1

***

# 5
# UGaTc2
Computed powder X-ray diffraction pattern, λ = 1.5418 Å (Cu Kα). Input: a DFT-relaxed cell (GGA-PBE, the Materials Project).

Cell and atoms:
Cell: 6.475 6.475 6.475 Å, 90.00 90.00 90.00°
Space group Fm-3m (No. 225)
Unique sites:
U 0.000 0.000 0.000
Ga 0.000 0.000 0.500
Tc 0.250 0.250 0.250

Top 10 peaks for 10° ≤ 2θ ≤ 90°, sorted by position:
- 23.80 deg, I 22, hkl 1 1 1
- 27.55 deg, I 5, hkl 2 0 0
- 39.36 deg, I 100, hkl 2 2 0
- 46.51 deg, I 12, hkl 3 1 1
- 56.88 deg, I 17, hkl 4 0 0
- 62.52 deg, I 5, hkl 3 3 1
- 71.36 deg, I 35, hkl 4 2 2
- 76.43 deg, I 4, hkl 5 1 1
- 84.67 deg, I 11, hkl 4 4 0
- 89.55 deg, I 5, hkl 5 3 1

***

# 6
# Mg5Bi
Computed powder X-ray diffraction pattern, λ = 1.5418 Å (Cu Kα). Input: a DFT-relaxed cell (GGA-PBE, the Materials Project).

Cell and atoms:
Cell: 11.843 3.337 7.767 Å, 90.00 106.45 90.00°
Space group Cm (No. 8)
Unique sites:
Mg 0.000 0.000 0.000
Mg 0.053 0.000 0.604
Mg 0.166 0.500 0.337
Mg 0.337 0.000 0.661
Mg 0.392 0.000 0.282
Bi 0.224 0.500 0.947

Top 10 peaks for 10° ≤ 2θ ≤ 90°, sorted by position:
- 11.88 deg, I 100, hkl 0 0 1
- 15.60 deg, I 56, hkl 2 0 0
- 16.74 deg, I 50, hkl 2 0 -1
- 22.21 deg, I 27, hkl 2 0 1
- 27.87 deg, I 31, hkl 1 1 0
- 29.47 deg, I 27, hkl 1 1 -1
- 31.28 deg, I 38, hkl 1 1 1
- 33.84 deg, I 32, hkl 4 0 -2
- 35.48 deg, I 47, hkl 1 1 -2
- 35.87 deg, I 46, hkl 3 1 0